Record 1
Theoretical PXRD pattern of ErCo5As3 for Cu Kα (λ = 1.5418 Å), from a DFT-relaxed cell (GGA-PBE, Alexandria).
Kinematic intensities with the Lorentz-polarization factor, no thermal factor.

Largest 10 diffraction maxima, by intensity, 15 to 90 degrees two-theta:
two_theta  intensity
36.7  100
34.3  96
40.1  65
49.4  62
48.1  51
29.6  38
33.2  36
51.4  34
51.8  28
30.1  28

Structural model:
```
data_ErCo5As3
_chemical_formula_sum 'Er2 Co10 As6'
_cell_length_a 6.222
_cell_length_b 6.222
_cell_length_c 11.689
_cell_angle_alpha 90.00
_cell_angle_beta 90.00
_cell_angle_gamma 145.52
_symmetry_space_group_name_H-M 'P 1'
_symmetry_Int_Tables_number 1
loop_
_symmetry_equiv_pos_as_xyz
'x,y,z'
loop_
_atom_site_label
_atom_site_type_symbol
_atom_site_fract_x
_atom_site_fract_y
_atom_site_fract_z
Er1 Er 0.152 0.848 0.750
Er2 Er 0.848 0.152 0.250
Co1 Co 0.000 0.000 0.000
Co2 Co 0.000 0.000 0.500
Co3 Co 0.195 0.805 0.070
Co4 Co 0.195 0.805 0.430
Co5 Co 0.449 0.551 0.643
Co6 Co 0.449 0.551 0.857
Co7 Co 0.551 0.449 0.143
Co8 Co 0.551 0.449 0.357
Co9 Co 0.805 0.195 0.570
Co10 Co 0.805 0.195 0.930
As1 As 0.112 0.888 0.250
As2 As 0.380 0.620 0.045
As3 As 0.380 0.620 0.455
As4 As 0.620 0.380 0.545
As5 As 0.620 0.380 0.955
As6 As 0.888 0.112 0.750
```


Record 2
Theoretical PXRD pattern of Mg4SiSn for Cu Kα (λ = 1.5418 Å), from a DFT-relaxed cell (GGA-PBE, Alexandria).
Kinematic intensities with the Lorentz-polarization factor, no thermal factor.

Largest 10 diffraction maxima, by intensity, 15 to 90 degrees two-theta:
two_theta  intensity
38.7  100
23.4  88
45.7  44
70.0  34
22.4  25
61.3  19
55.8  17
29.6  16
74.9  14
35.4  13

Structural model:
```
data_Mg4SiSn
_chemical_formula_sum 'Mg4 Si1 Sn1'
_cell_length_a 8.063
_cell_length_b 8.063
_cell_length_c 8.063
_cell_angle_alpha 33.60
_cell_angle_beta 33.60
_cell_angle_gamma 33.60
_symmetry_space_group_name_H-M 'P 1'
_symmetry_Int_Tables_number 1
loop_
_symmetry_equiv_pos_as_xyz
'x,y,z'
loop_
_atom_site_label
_atom_site_type_symbol
_atom_site_fract_x
_atom_site_fract_y
_atom_site_fract_z
Mg1 Mg 0.121 0.121 0.121
Mg2 Mg 0.371 0.371 0.371
Mg3 Mg 0.629 0.629 0.629
Mg4 Mg 0.879 0.879 0.879
Si1 Si 0.000 0.000 0.000
Sn1 Sn 0.500 0.500 0.500
```


Record 3
Theoretical PXRD pattern of Dy4PuAu5 for Cu Kα (λ = 1.5418 Å), from a DFT-relaxed cell (GGA-PBE, Alexandria).
Kinematic intensities with the Lorentz-polarization factor, no thermal factor.

Largest 10 diffraction maxima, by intensity, 15 to 90 degrees two-theta:
two_theta  intensity
35.0  100
35.5  49
63.5  36
62.5  18
51.1  18
74.0  11
49.7  9
86.0  8
85.7  8
83.5  8

Structural model:
```
data_Dy4PuAu5
_chemical_formula_sum 'Dy4 Pu1 Au5'
_cell_length_a 3.574
_cell_length_b 3.574
_cell_length_c 18.359
_cell_angle_alpha 90.00
_cell_angle_beta 90.00
_cell_angle_gamma 90.00
_symmetry_space_group_name_H-M 'P 1'
_symmetry_Int_Tables_number 1
loop_
_symmetry_equiv_pos_as_xyz
'x,y,z'
loop_
_atom_site_label
_atom_site_type_symbol
_atom_site_fract_x
_atom_site_fract_y
_atom_site_fract_z
Dy1 Dy 0.000 0.000 0.099
Dy2 Dy 0.000 0.000 0.299
Dy3 Dy 0.000 0.000 0.701
Dy4 Dy 0.000 0.000 0.901
Pu1 Pu 0.000 0.000 0.500
Au1 Au 0.500 0.500 0.000
Au2 Au 0.500 0.500 0.198
Au3 Au 0.500 0.500 0.391
Au4 Au 0.500 0.500 0.609
Au5 Au 0.500 0.500 0.802
```


Record 4
Theoretical PXRD pattern of BaPa3O9 for Cu Kα (λ = 1.5418 Å), from a DFT-relaxed cell (GGA-PBE, Alexandria).
Kinematic intensities with the Lorentz-polarization factor, no thermal factor.

Largest 10 diffraction maxima, by intensity, 15 to 90 degrees two-theta:
two_theta  intensity
25.3  100
24.4  39
50.0  32
33.0  31
20.8  29
44.6  28
30.4  25
63.3  20
49.7  16
40.0  16

Structural model:
```
data_BaPa3O9
_chemical_formula_sum 'Ba1 Pa3 O9'
_cell_length_a 8.122
_cell_length_b 8.122
_cell_length_c 4.263
_cell_angle_alpha 90.00
_cell_angle_beta 90.00
_cell_angle_gamma 120.00
_symmetry_space_group_name_H-M 'P 1'
_symmetry_Int_Tables_number 1
loop_
_symmetry_equiv_pos_as_xyz
'x,y,z'
loop_
_atom_site_label
_atom_site_type_symbol
_atom_site_fract_x
_atom_site_fract_y
_atom_site_fract_z
Ba1 Ba 0.000 0.000 0.000
Pa1 Pa 0.000 0.500 0.500
Pa2 Pa 0.500 0.000 0.500
Pa3 Pa 0.500 0.500 0.500
O1 O 0.000 0.500 0.000
O2 O 0.196 0.392 0.500
O3 O 0.196 0.804 0.500
O4 O 0.392 0.196 0.500
O5 O 0.500 0.000 0.000
O6 O 0.500 0.500 0.000
O7 O 0.608 0.804 0.500
O8 O 0.804 0.196 0.500
O9 O 0.804 0.608 0.500
```